(1)
Calculated X-ray diffraction stick pattern of Ba3Tl2Cl2O5 for Cu Kα, 1.54184 Å, from a PBE-relaxed structure.
Neutral-atom scattering factors, no anomalous dispersion.

Peak list (10 most intense, 10 to 90 degrees two-theta, by angle)
| 2θ/deg | I (rel.) |
| --- | --- |
| 13.68 | 21.5 |
| 26.53 | 77.8 |
| 28.59 | 89.6 |
| 31.55 | 100.0 |
| 40.88 | 45.8 |
| 49.40 | 30.3 |
| 51.47 | 25.7 |
| 52.53 | 47.3 |
| 59.94 | 19.2 |
| 67.03 | 16.3 |

Structural model:
```
Ba3Tl2Cl2O5
1.0
-2.2076 2.2076 12.9501
2.2076 -2.2076 12.9501
2.2076 2.2076 -12.9501
Ba Tl Cl O
3 2 2 5
Direct
0.0000 0.0000 0.0000
0.1620 0.1620 0.0000
0.8380 0.8380 0.0000
0.4154 0.4154 0.0000
0.5846 0.5846 0.0000
0.2945 0.2945 0.0000
0.7055 0.7055 0.0000
0.0969 0.5969 0.5000
0.4031 0.9031 0.5000
0.5000 0.5000 0.0000
0.5969 0.0969 0.5000
0.9031 0.4031 0.5000
```

---

(2)
Calculated X-ray diffraction stick pattern of SmS2 for Cu Kα, 1.54184 Å, from a PBE-relaxed structure.
Neutral-atom scattering factors, no anomalous dispersion.

Peak list (10 most intense, 10 to 90 degrees two-theta, by angle)
| 2θ/deg | I (rel.) |
| --- | --- |
| 22.05 | 28.0 |
| 24.91 | 100.0 |
| 31.74 | 42.7 |
| 33.35 | 13.4 |
| 33.68 | 17.1 |
| 38.98 | 60.3 |
| 40.48 | 43.4 |
| 45.50 | 26.1 |
| 52.58 | 18.3 |
| 62.48 | 12.5 |

Structural model:
```
SmS2
1.0
8.0611 0.0000 0.0000
0.0000 3.9914 0.0000
-0.0136 0.0000 7.9672
Sm S
4 8
Direct
0.2247 0.2148 0.3709
0.2247 0.2852 0.8709
0.7753 0.7148 0.1291
0.7753 0.7852 0.6291
0.1323 0.7401 0.1251
0.1323 0.7599 0.6251
0.4974 0.6602 0.3906
0.4974 0.8398 0.8906
0.5026 0.1602 0.1094
0.5026 0.3398 0.6094
0.8677 0.2401 0.3749
0.8677 0.2599 0.8749
```

---

(3)
Calculated X-ray diffraction stick pattern of KMnSe2 for Cu Kα, 1.54184 Å, from a PBE-relaxed structure.
Neutral-atom scattering factors, no anomalous dispersion.

Peak list (10 most intense, 10 to 90 degrees two-theta, by angle)
| 2θ/deg | I (rel.) |
| --- | --- |
| 12.87 | 15.6 |
| 23.33 | 29.9 |
| 29.78 | 100.0 |
| 31.90 | 22.1 |
| 41.54 | 23.8 |
| 45.73 | 24.7 |
| 51.48 | 23.2 |
| 51.95 | 15.7 |
| 55.53 | 31.9 |
| 88.93 | 9.4 |

Structural model:
```
KMnSe2
1.0
-1.9839 1.9839 6.8765
1.9839 -1.9839 6.8765
1.9839 1.9839 -6.8765
K Mn Se
1 1 2
Direct
0.0000 0.0000 0.0000
0.2500 0.7500 0.5000
0.3536 0.3536 0.0000
0.6464 0.6464 0.0000
```

---

(4)
Calculated X-ray diffraction stick pattern of K2P3 for Cu Kα, 1.54184 Å, from a PBE-relaxed structure.
Neutral-atom scattering factors, no anomalous dispersion.

Peak list (10 most intense, 10 to 90 degrees two-theta, by angle)
| 2θ/deg | I (rel.) |
| --- | --- |
| 15.14 | 25.7 |
| 23.13 | 15.8 |
| 30.55 | 100.0 |
| 30.80 | 13.6 |
| 31.18 | 47.8 |
| 38.06 | 24.2 |
| 41.53 | 15.1 |
| 42.98 | 30.1 |
| 52.83 | 16.3 |
| 58.73 | 23.0 |

Structural model:
```
K2P3
1.0
0.0000 4.7292 7.2149
4.3490 0.0000 7.2149
4.3490 4.7292 0.0000
K P
4 6
Direct
0.2285 0.7715 0.2285
0.2500 0.2500 0.2500
0.7500 0.7500 0.7500
0.7715 0.2285 0.7715
0.2091 0.6405 0.7909
0.3488 0.3488 0.6512
0.3595 0.7909 0.6405
0.6405 0.2091 0.3595
0.6512 0.6512 0.3488
0.7909 0.3595 0.2091
```

---

(5)
Calculated X-ray diffraction stick pattern of Ho2CrS4 for Cu Kα, 1.54184 Å, from a PBE-relaxed structure.
Neutral-atom scattering factors, no anomalous dispersion.

Peak list (10 most intense, 10 to 90 degrees two-theta, by angle)
| 2θ/deg | I (rel.) |
| --- | --- |
| 25.57 | 100.0 |
| 25.76 | 33.4 |
| 28.43 | 31.7 |
| 28.59 | 34.5 |
| 32.82 | 62.5 |
| 35.14 | 54.3 |
| 43.95 | 34.5 |
| 45.81 | 25.2 |
| 48.68 | 46.3 |
| 55.60 | 21.9 |

Structural model:
```
Ho2CrS4
1.0
12.5551 0.0000 0.0000
0.0000 7.5111 0.0000
0.0000 0.0000 12.5638
Ho Cr S
16 8 32
Direct
0.1102 0.1123 0.1891
0.1248 0.6148 0.8287
0.1348 0.3651 0.5000
0.1346 0.8655 0.4949
0.3652 0.3651 0.0000
0.3654 0.8655 0.9949
0.3752 0.6148 0.3287
0.3898 0.1123 0.6891
0.6102 0.8877 0.1891
0.6248 0.3852 0.8287
0.6346 0.1345 0.4949
0.6348 0.6349 0.5000
0.8654 0.1345 0.9949
0.8652 0.6349 0.0000
0.8752 0.3852 0.3287
0.8898 0.8877 0.6891
0.1189 0.6056 0.1985
0.1243 0.1143 0.8249
0.3757 0.1143 0.3249
0.3811 0.6056 0.6985
0.6189 0.3944 0.1985
0.6243 0.8857 0.8249
0.8757 0.8857 0.3249
0.8811 0.3944 0.6985
0.0118 0.1167 0.3823
0.0246 0.6140 0.6331
0.0314 0.6189 0.3702
0.0497 0.1168 0.6428
0.2081 0.1148 0.9992
0.2111 0.6154 0.0262
0.2315 0.8582 0.2752
0.2428 0.3527 0.2773
0.2572 0.3527 0.7773
0.2685 0.8582 0.7752
0.2889 0.6154 0.5262
0.2919 0.1148 0.4992
0.4503 0.1168 0.1428
0.4686 0.6189 0.8702
0.4754 0.6140 0.1331
0.4882 0.1167 0.8823
0.5118 0.8833 0.3823
0.5246 0.3860 0.6331
0.5314 0.3811 0.3702
0.5497 0.8832 0.6428
0.7081 0.8852 0.9992
0.7111 0.3846 0.0262
0.7315 0.1418 0.2752
0.7428 0.6473 0.2773
0.7572 0.6473 0.7773
0.7685 0.1418 0.7752
0.7889 0.3846 0.5262
0.7919 0.8852 0.4992
0.9503 0.8832 0.1428
0.9686 0.3811 0.8702
0.9754 0.3860 0.1331
0.9882 0.8833 0.8823
```

---

(6)
Calculated X-ray diffraction stick pattern of YBi3F15 for Cu Kα, 1.54184 Å, from a PBE-relaxed structure.
Neutral-atom scattering factors, no anomalous dispersion.

Peak list (10 most intense, 10 to 90 degrees two-theta, by angle)
| 2θ/deg | I (rel.) |
| --- | --- |
| 15.20 | 57.2 |
| 15.78 | 100.0 |
| 17.04 | 28.5 |
| 21.98 | 96.9 |
| 24.50 | 30.7 |
| 25.56 | 25.7 |
| 26.06 | 41.1 |
| 28.83 | 19.8 |
| 29.87 | 33.3 |
| 47.90 | 19.6 |

Structural model:
```
YBi3F15
1.0
5.9628 0.0000 0.0000
0.0000 11.6562 0.0000
-2.3127 0.0000 10.2585
Y Bi F
2 6 30
Direct
0.2491 0.2500 0.1513
0.7509 0.7500 0.8487
0.0000 0.0000 0.5000
0.0000 0.5000 0.5000
0.3606 0.0618 0.8410
0.3606 0.4382 0.8410
0.6394 0.5618 0.1590
0.6394 0.9382 0.1590
0.0015 0.0254 0.3034
0.0015 0.4746 0.3034
0.0942 0.7500 0.8061
0.1584 0.1365 0.9748
0.1584 0.3635 0.9748
0.1715 0.2500 0.3489
0.2280 0.6275 0.4991
0.2280 0.8725 0.4991
0.2725 0.1036 0.5856
0.2725 0.3964 0.5856
0.3414 0.5800 0.9927
0.3414 0.9200 0.9927
0.4468 0.0964 0.2158
0.4468 0.4036 0.2158
0.4519 0.2500 0.8220
0.5481 0.7500 0.1780
0.5532 0.5964 0.7842
0.5532 0.9036 0.7842
0.6586 0.0800 0.0073
0.6586 0.4200 0.0073
0.7275 0.6036 0.4144
0.7275 0.8964 0.4144
0.7720 0.1275 0.5009
0.7720 0.3725 0.5009
0.8285 0.7500 0.6511
0.8416 0.6365 0.0252
0.8416 0.8635 0.0252
0.9058 0.2500 0.1939
0.9985 0.5254 0.6966
0.9985 0.9746 0.6966
```

---

(7)
Calculated X-ray diffraction stick pattern of Ba16Re6O37 for Cu Kα, 1.54184 Å, from a PBE-relaxed structure.
Neutral-atom scattering factors, no anomalous dispersion.

Peak list (10 most intense, 10 to 90 degrees two-theta, by angle)
| 2θ/deg | I (rel.) |
| --- | --- |
| 27.25 | 100.0 |
| 28.63 | 86.9 |
| 29.50 | 17.3 |
| 29.95 | 53.1 |
| 35.43 | 12.0 |
| 40.97 | 30.4 |
| 47.32 | 13.5 |
| 49.92 | 11.5 |
| 51.53 | 10.9 |
| 52.36 | 18.7 |

Structural model:
```
Ba16Re6O37
1.0
10.5587 -2.9837 0.0000
10.5587 2.9837 0.0000
-0.6915 0.0000 15.8199
Ba Re O
16 6 37
Direct
0.0000 0.0000 0.0000
0.0000 0.0000 0.5000
0.0872 0.0872 0.7988
0.1813 0.1813 0.0451
0.2361 0.2361 0.3993
0.2642 0.2642 0.7995
0.3930 0.3930 0.6030
0.4203 0.4203 0.3517
0.4514 0.4514 0.8578
0.5486 0.5486 0.1422
0.5797 0.5797 0.6483
0.6070 0.6070 0.3970
0.7358 0.7358 0.2005
0.7639 0.7639 0.6007
0.8187 0.8187 0.9549
0.9128 0.9128 0.2012
0.0808 0.0808 0.2653
0.1729 0.1729 0.6091
0.3580 0.3580 0.0704
0.6420 0.6420 0.9296
0.8271 0.8271 0.3909
0.9192 0.9192 0.7347
0.0438 0.5959 0.3026
0.0584 0.0584 0.1452
0.0668 0.6033 0.4715
0.0732 0.5203 0.0907
0.0823 0.6327 0.7528
0.0841 0.0841 0.6258
0.0970 0.0970 0.3824
0.1845 0.6487 0.0430
0.2144 0.7483 0.7243
0.2517 0.7856 0.2757
0.2629 0.2629 0.6060
0.3361 0.3361 0.9495
0.3513 0.8155 0.9570
0.3673 0.9177 0.2472
0.3967 0.9332 0.5285
0.3975 0.3975 0.1775
0.4041 0.9562 0.6974
0.4797 0.9268 0.9093
0.5000 0.5000 0.5000
0.5203 0.0732 0.0907
0.5959 0.0438 0.3026
0.6025 0.6025 0.8225
0.6033 0.0668 0.4715
0.6327 0.0823 0.7528
0.6487 0.1845 0.0430
0.6639 0.6639 0.0505
0.7371 0.7371 0.3940
0.7483 0.2144 0.7243
0.7856 0.2517 0.2757
0.8155 0.3513 0.9570
0.9030 0.9030 0.6176
0.9159 0.9159 0.3742
0.9177 0.3673 0.2472
0.9268 0.4797 0.9093
0.9332 0.3967 0.5285
0.9416 0.9416 0.8548
0.9562 0.4041 0.6974
```